# Zn11SbRu3
Computed powder diffraction line list, a wavelength of 1.5418 Å. Input: a structure optimized by DFT (GGA-PBE).

Peak list (6 most intense, 2θ = 5–70°, by angle)
two_theta  d (Å)  intensity
39.8  2.265  270
40.6  2.220  1000
41.2  2.192  281
42.3  2.136  194
42.6  2.121  271
45.7  1.985  208

Structure:
a = 16.965 Å, b = 5.263 Å, c = 5.263 Å
α = 81.99°, β = 90.00°, γ = 90.00°
Sites, in units of the cell vectors:
1 Zn 0.000 0.000 0.000
2 Zn 0.000 0.497 0.497
3 Zn 0.001 0.495 0.999
4 Zn 0.123 0.771 0.826
5 Zn 0.127 0.155 0.250
6 Zn 0.165 0.625 0.378
7 Zn 0.250 0.065 0.542
8 Zn 0.335 0.625 0.378
9 Zn 0.373 0.155 0.250
10 Zn 0.377 0.771 0.826
11 Zn 0.499 0.495 0.999
12 Zn 0.500 0.000 0.000
13 Zn 0.500 0.497 0.497
14 Zn 0.501 0.999 0.495
15 Zn 0.623 0.826 0.771
16 Zn 0.627 0.250 0.155
17 Zn 0.665 0.378 0.625
18 Zn 0.750 0.542 0.065
19 Zn 0.835 0.378 0.625
20 Zn 0.873 0.250 0.155
21 Zn 0.877 0.826 0.771
22 Zn 0.999 0.999 0.495
23 Sb 0.250 0.427 0.908
24 Sb 0.750 0.908 0.427
25 Ru 0.111 0.267 0.734
26 Ru 0.250 0.918 0.059
27 Ru 0.389 0.267 0.734
28 Ru 0.611 0.734 0.267
29 Ru 0.750 0.059 0.918
30 Ru 0.889 0.734 0.267